The following is a theoretical powder diffractogram of PmPr2Ir2. It was derived from a crystal structure in Alexandria, relaxed with PBE, using Cu Kα.
No peak broadening, texture or thermal motion is included.

Top 10 peaks for 2θ from 10° to 80°, in order of falling intensity:
29.71 deg, I 100, (1 3 0); 31.02 deg, I 81, (1 3 1); 34.73 deg, I 79, (1 3 2); 44.19 deg, I 69, (0 6 2); 22.04 deg, I 56, (0 2 2); 35.34 deg, I 42, (1 1 3); 44.70 deg, I 35, (2 0 0); 54.58 deg, I 28, (0 8 0); 64.67 deg, I 28, (2 6 2); 73.08 deg, I 27, (2 8 0)

Structural model:
abc: 4.0547 13.4633 10.0734
angles: 90.00 90.00 90.00
Space group Cmc2_1 (No. 36)
One atom of each set of equivalent atoms:
Pm: 0.0000 0.1456 0.0000
Pr: 0.0000 0.1412 0.3699
Pr: 0.0000 0.4007 0.1867
Ir: 0.0000 0.2545 0.6829
Ir: 0.0000 0.4965 0.4389

***

The following is a theoretical powder diffractogram of Ac2PmOsN5. It was derived from a crystal structure in Alexandria, relaxed with PBE, using Cu Kα.
No peak broadening, texture or thermal motion is included.

Top 10 peaks for 2θ from 10° to 80°, in order of falling intensity:
29.40 deg, I 100, (2 0 2); 29.26 deg, I 50, (2 1 1); 36.33 deg, I 43, (2 1 3); 29.95 deg, I 39, (0 0 4); 54.14 deg, I 26, (4 0 2); 35.98 deg, I 23, (2 2 0); 52.83 deg, I 21, (2 0 6); 47.49 deg, I 20, (2 2 4); 47.77 deg, I 16, (2 1 5); 58.70 deg, I 14, (4 1 3)

Structural model:
abc: 7.0598 7.0598 11.9334
angles: 90.00 90.00 90.00
Space group I4/mcm (No. 140)
One atom of each set of equivalent atoms:
Ac: 0.1764 0.3236 0.0000
Pm: 0.0000 0.0000 0.2500
Os: 0.0000 0.5000 0.2500
N: 0.0000 0.0000 0.0000
N: 0.1468 0.3532 0.3465

***

The following is a theoretical powder diffractogram of NpNbTlO6. It was derived from a crystal structure in Alexandria, relaxed with PBE, using Cu Kα.
No peak broadening, texture or thermal motion is included.

Top 10 peaks for 2θ from 10° to 80°, in order of falling intensity:
23.44 deg, I 100, (1 0 2); 43.87 deg, I 44, (1 1 4); 32.09 deg, I 38, (1 1 0); 52.26 deg, I 23, (2 1 2); 40.11 deg, I 22, (2 0 2); 29.12 deg, I 15, (0 0 4); 19.75 deg, I 13, (1 0 1); 48.33 deg, I 13, (1 0 6); 14.44 deg, I 12, (0 0 2); 57.20 deg, I 11, (3 0 0)

Structural model:
abc: 5.5792 5.5792 12.2682
angles: 90.00 90.00 120.00
Space group P-31c (No. 163)
One atom of each set of equivalent atoms:
Np: 0.3333 0.6667 0.2500
Nb: 0.3333 0.6667 0.7500
Tl: 0.0000 0.0000 0.0000
O: 0.0067 0.3882 0.6604

***

The following is a theoretical powder diffractogram of Li5CaAg2. It was derived from a crystal structure in Alexandria, relaxed with PBE, using Cu Kα.
No peak broadening, texture or thermal motion is included.

Top 10 peaks for 2θ from 10° to 80°, in order of falling intensity:
29.84 deg, I 100, (1 1 2); 21.77 deg, I 57, (0 2 0); 17.83 deg, I 44, (0 0 2); 23.73 deg, I 44, (1 1 0); 43.56 deg, I 37, (1 3 2); 28.28 deg, I 25, (0 2 2); 42.57 deg, I 20, (0 2 4); 43.67 deg, I 17, (1 1 4); 39.40 deg, I 15, (1 3 0); 14.03 deg, I 14, (0 1 1)

Structural model:
abc: 4.2204 8.1631 9.9487
angles: 90.00 90.00 90.00
Space group Immm (No. 71)
One atom of each set of equivalent atoms:
Li: 0.0000 0.0000 0.0000
Li: 0.0000 0.3181 0.3404
Ca: 0.0000 0.5000 0.0000
Ag: 0.0000 0.0000 0.2649

***

What did the third record say?
The following is a theoretical powder diffractogram of NpNbTlO6. It was derived from a crystal structure in Alexandria, relaxed with PBE, using Cu Kα.
No peak broadening, texture or thermal motion is included.

Top 10 peaks for 2θ from 10° to 80°, in order of falling intensity:
23.44 deg, I 100, (1 0 2); 43.87 deg, I 44, (1 1 4); 32.09 deg, I 38, (1 1 0); 52.26 deg, I 23, (2 1 2); 40.11 deg, I 22, (2 0 2); 29.12 deg, I 15, (0 0 4); 19.75 deg, I 13, (1 0 1); 48.33 deg, I 13, (1 0 6); 14.44 deg, I 12, (0 0 2); 57.20 deg, I 11, (3 0 0)

Structural model:
abc: 5.5792 5.5792 12.2682
angles: 90.00 90.00 120.00
Space group P-31c (No. 163)
One atom of each set of equivalent atoms:
Np: 0.3333 0.6667 0.2500
Nb: 0.3333 0.6667 0.7500
Tl: 0.0000 0.0000 0.0000
O: 0.0067 0.3882 0.6604

***

Question: Which formula does entry 1 have?
Answer: PmPr2Ir2